No. 1
Structure and computed X-ray powder pattern of Nb4Ag2O11 (a structure optimized by DFT (PBE); copper Kα).
No peak broadening, texture or thermal motion is included.

Principal peaks in the range 10 to 90 degrees two-theta, low angle first:
28.0°, I = 45
28.5°, I = 13
29.4°, I = 40
31.8°, I = 100
45.9°, I = 14
50.5°, I = 33
52.0°, I = 26
58.7°, I = 34
60.9°, I = 13
83.0°, I = 10

Structural model:
```
data_Nb4Ag2O11
_chemical_formula_sum 'Nb8 Ag4 O22'
_symmetry_space_group_name_H-M 'P 1'
_symmetry_Int_Tables_number 1
_cell_length_a 13.243
_cell_length_b 13.243
_cell_length_c 13.243
_cell_angle_alpha 27.35
_cell_angle_beta 27.35
_cell_angle_gamma 27.35
loop_
_symmetry_equiv_pos_as_xyz
'x,y,z'
loop_
_atom_site_label
_atom_site_fract_x
_atom_site_fract_y
_atom_site_fract_z
Nb1 0.000 0.000 0.000
Nb2 0.119 0.757 0.382
Nb3 0.257 0.619 0.882
Nb4 0.382 0.119 0.757
Nb5 0.500 0.500 0.500
Nb6 0.619 0.882 0.257
Nb7 0.757 0.382 0.119
Nb8 0.882 0.257 0.619
Ag1 0.175 0.175 0.175
Ag2 0.330 0.330 0.330
Ag3 0.675 0.675 0.675
Ag4 0.830 0.830 0.830
O1 0.001 0.512 0.253
O2 0.012 0.501 0.753
O3 0.057 0.768 0.287
O4 0.101 0.101 0.101
O5 0.219 0.749 0.457
O6 0.249 0.719 0.957
O7 0.253 0.001 0.512
O8 0.268 0.557 0.787
O9 0.287 0.057 0.768
O10 0.411 0.411 0.411
O11 0.457 0.219 0.749
O12 0.501 0.753 0.012
O13 0.512 0.253 0.001
O14 0.557 0.787 0.268
O15 0.601 0.601 0.601
O16 0.719 0.957 0.249
O17 0.749 0.457 0.219
O18 0.753 0.012 0.501
O19 0.768 0.287 0.057
O20 0.787 0.268 0.557
O21 0.911 0.911 0.911
O22 0.957 0.249 0.719
```


No. 2
Structure and computed X-ray powder pattern of Nb3AgO8 (a structure optimized by DFT (PBE); copper Kα).
No peak broadening, texture or thermal motion is included.

Principal peaks in the range 10 to 90 degrees two-theta, low angle first:
29.1°, I = 100
30.3°, I = 84
34.3°, I = 18
34.5°, I = 41
48.1°, I = 13
49.4°, I = 53
51.1°, I = 15
57.9°, I = 31
58.9°, I = 13
59.9°, I = 24

Structural model:
```
data_Nb3AgO8
_chemical_formula_sum 'Nb6 Ag2 O16'
_symmetry_space_group_name_H-M 'P 1'
_symmetry_Int_Tables_number 1
_cell_length_a 7.380
_cell_length_b 7.380
_cell_length_c 7.380
_cell_angle_alpha 118.38
_cell_angle_beta 89.61
_cell_angle_gamma 122.10
loop_
_symmetry_equiv_pos_as_xyz
'x,y,z'
loop_
_atom_site_label
_atom_site_fract_x
_atom_site_fract_y
_atom_site_fract_z
Nb1 0.233 0.742 0.975
Nb2 0.250 0.250 0.000
Nb3 0.267 0.242 0.509
Nb4 0.733 0.758 0.491
Nb5 0.750 0.750 0.000
Nb6 0.767 0.258 0.025
Ag1 0.250 0.750 0.500
Ag2 0.750 0.250 0.500
O1 0.058 0.008 0.666
O2 0.075 0.892 0.967
O3 0.158 0.492 0.050
O4 0.166 0.513 0.679
O5 0.334 0.013 0.347
O6 0.342 0.392 0.334
O7 0.425 0.392 0.817
O8 0.442 0.108 0.950
O9 0.558 0.892 0.050
O10 0.575 0.608 0.183
O11 0.658 0.608 0.666
O12 0.666 0.987 0.653
O13 0.834 0.487 0.321
O14 0.842 0.508 0.950
O15 0.925 0.108 0.033
O16 0.942 0.992 0.334
```


No. 3
Structure and computed X-ray powder pattern of NbAgO3 (a structure optimized by DFT (PBE); copper Kα).
No peak broadening, texture or thermal motion is included.

Principal peaks in the range 10 to 90 degrees two-theta, low angle first:
31.6°, I = 48
31.8°, I = 100
45.3°, I = 15
45.4°, I = 15
45.7°, I = 14
56.4°, I = 40
56.6°, I = 20
66.0°, I = 9
66.3°, I = 16
75.0°, I = 8

Structural model:
```
data_NbAgO3
_chemical_formula_sum 'Nb4 Ag4 O12'
_symmetry_space_group_name_H-M 'P 1'
_symmetry_Int_Tables_number 1
_cell_length_a 5.634
_cell_length_b 5.634
_cell_length_c 8.012
_cell_angle_alpha 90.00
_cell_angle_beta 90.00
_cell_angle_gamma 90.40
loop_
_symmetry_equiv_pos_as_xyz
'x,y,z'
loop_
_atom_site_label
_atom_site_fract_x
_atom_site_fract_y
_atom_site_fract_z
Nb1 0.000 0.500 0.000
Nb2 0.000 0.500 0.500
Nb3 0.500 0.000 0.000
Nb4 0.500 0.000 0.500
Ag1 0.003 0.997 0.750
Ag2 0.496 0.504 0.250
Ag3 0.504 0.496 0.750
Ag4 0.997 0.003 0.250
O1 0.039 0.523 0.250
O2 0.206 0.206 0.000
O3 0.206 0.206 0.500
O4 0.292 0.708 0.531
O5 0.292 0.708 0.969
O6 0.477 0.961 0.250
O7 0.523 0.039 0.750
O8 0.708 0.292 0.031
O9 0.708 0.292 0.469
O10 0.794 0.794 0.000
O11 0.794 0.794 0.500
O12 0.961 0.477 0.750
```